Diffraction record for TbGaO3. The powder XRD pattern is simulated, not measured: it uses a crystal structure in OQMD, relaxed with GGA-PBE and a wavelength of 1.5418 Å.
Intensities are scaled so that the largest is 100.

The 10 most intense peaks (2θ = 10–90°), by intensity:
| Position (°2θ) | intensity |
| --- | --- |
| 31.84 | 100 |
| 34.51 | 40 |
| 60.15 | 33 |
| 54.96 | 24 |
| 49.60 | 24 |
| 20.36 | 16 |
| 40.40 | 15 |
| 41.41 | 11 |
| 48.54 | 11 |
| 66.54 | 11 |

Cell and atoms:
a = 3.676 Å, b = 3.676 Å, c = 4.361 Å
α = 90.00°, β = 90.00°, γ = 90.00°
Fractional positions:
Tb 0.000 0.000 0.000
Ga 0.500 0.500 0.564
O 0.000 0.500 0.684
O 0.500 0.000 0.684
O 0.500 0.500 0.143

***

Diffraction record for Nb4H7. The powder XRD pattern is simulated, not measured: it uses a crystal structure in OQMD, relaxed with GGA-PBE and a wavelength of 1.5418 Å.
Intensities are scaled so that the largest is 100.

The 6 most intense peaks (2θ = 10–90°), by intensity:
| Position (°2θ) | intensity |
| --- | --- |
| 34.39 | 100 |
| 39.92 | 47 |
| 68.96 | 37 |
| 57.73 | 33 |
| 72.50 | 10 |
| 86.12 | 5 |

Cell and atoms:
a = 4.517 Å, b = 4.517 Å, c = 4.517 Å
α = 90.00°, β = 90.00°, γ = 90.00°
Fractional positions:
Nb 0.247 0.247 0.753
Nb 0.247 0.753 0.247
Nb 0.753 0.247 0.247
Nb 0.753 0.753 0.753
H 0.000 0.000 0.500
H 0.000 0.500 0.000
H 0.000 0.500 0.500
H 0.500 0.000 0.000
H 0.500 0.000 0.500
H 0.500 0.500 0.000
H 0.500 0.500 0.500

***

Diffraction record for TbDy2Mg3In3. The powder XRD pattern is simulated, not measured: it uses a crystal structure in OQMD, relaxed with GGA-PBE and a wavelength of 1.5418 Å.
Intensities are scaled so that the largest is 100.

The 10 most intense peaks (2θ = 10–90°), by intensity:
| Position (°2θ) | intensity |
| --- | --- |
| 33.55 | 100 |
| 30.52 | 51 |
| 27.41 | 26 |
| 38.49 | 23 |
| 54.49 | 18 |
| 23.68 | 18 |
| 36.53 | 16 |
| 41.48 | 14 |
| 66.50 | 14 |
| 50.57 | 13 |

Cell and atoms:
a = 4.677 Å, b = 7.518 Å, c = 7.518 Å
α = 120.10°, β = 90.00°, γ = 90.00°
Fractional positions:
Tb 0.000 0.000 0.000
Dy 0.000 0.435 0.870
Dy 0.000 0.870 0.435
Mg 0.500 0.194 0.435
Mg 0.500 0.435 0.194
Mg 0.500 0.677 0.677
In 0.000 0.436 0.436
In 0.500 0.102 0.768
In 0.500 0.768 0.102

***

Diffraction record for Cu7Ag3. The powder XRD pattern is simulated, not measured: it uses a crystal structure in OQMD, relaxed with GGA-PBE and a wavelength of 1.5418 Å.
Intensities are scaled so that the largest is 100.

The 10 most intense peaks (2θ = 10–90°), by intensity:
| Position (°2θ) | intensity |
| --- | --- |
| 41.06 | 100 |
| 41.23 | 100 |
| 47.64 | 63 |
| 70.21 | 36 |
| 48.33 | 31 |
| 84.40 | 21 |
| 85.19 | 11 |
| 84.05 | 11 |
| 85.31 | 11 |
| 84.07 | 10 |

Cell and atoms:
a = 6.026 Å, b = 3.767 Å, c = 6.046 Å
α = 90.00°, β = 90.28°, γ = 90.00°
Fractional positions:
Cu 0.000 0.000 0.000
Cu 0.204 0.000 0.611
Cu 0.311 0.500 0.903
Cu 0.407 0.000 0.185
Cu 0.593 0.000 0.815
Cu 0.689 0.500 0.097
Cu 0.796 0.000 0.389
Ag 0.094 0.500 0.289
Ag 0.500 0.500 0.500
Ag 0.906 0.500 0.711